Diffraction record for Li5TaO5. The powder diffraction line list is calculated, not measured: it uses a crystal structure in the Materials Project, relaxed with PBE and CuKα.
No peak broadening, texture or thermal motion is included.

Top 6 peaks for 2θ = 10–90°, low angle first:
2theta, d (Å), I (rel.)
18.6, 4.775, 100.0
20.2, 4.399, 40.6
21.5, 4.134, 87.5
24.3, 3.657, 62.8
30.5, 2.932, 28.3
33.2, 2.696, 28.1

```
data_Li5TaO5
_chemical_formula_sum 'Li20 Ta4 O20'
_space_group_name_H-M_alt 'C 1 2/c 1'
_space_group_IT_number 15
_space_group_name_Hall '-C 2yc'
_cell_length_a 5.7377
_cell_length_b 9.3662
_cell_length_c 9.0955
_cell_angle_alpha 90.00
_cell_angle_beta 104.69
_cell_angle_gamma 90.00
loop_
_atom_site_label
_atom_site_type_symbol
_atom_site_fract_x
_atom_site_fract_y
_atom_site_fract_z
_atom_site_occupancy
Li1 Li 0.0000 0.1730 0.2500 1
Li2 Li 0.1278 0.3260 0.0605 1
Li3 Li 0.1596 0.1164 0.5408 1
Ta1 Ta 0.0000 0.4116 0.7500 1
O1 O 0.0000 0.3868 0.2500 1
O2 O 0.1565 0.3306 0.6063 1
O3 O 0.1868 0.1133 0.0895 1
```

***

Diffraction record for Mg6CdSiO8. The powder diffraction line list is calculated, not measured: it uses a crystal structure in the Materials Project, relaxed with PBE and CuKα.
No peak broadening, texture or thermal motion is included.

Top 6 peaks for 2θ = 10–90°, low angle first:
2theta, d (Å), I (rel.)
10.2, 8.712, 45.0
22.5, 3.955, 34.7
35.2, 2.547, 45.4
40.7, 2.219, 100.0
41.5, 2.178, 46.3
59.5, 1.555, 56.1

```
data_Mg6CdSiO8
_chemical_formula_sum 'Mg6 Cd1 Si1 O8'
_space_group_name_H-M_alt 'P 4/m m m'
_space_group_IT_number 123
_space_group_name_Hall '-P 4 2'
_cell_length_a 4.4389
_cell_length_b 4.4389
_cell_length_c 8.7122
_cell_angle_alpha 90.00
_cell_angle_beta 90.00
_cell_angle_gamma 90.00
loop_
_atom_site_label
_atom_site_type_symbol
_atom_site_fract_x
_atom_site_fract_y
_atom_site_fract_z
_atom_site_occupancy
Mg1 Mg 0.0000 0.0000 0.0000 1
Mg2 Mg 0.0000 0.0000 0.5000 1
Mg3 Mg 0.0000 0.5000 0.2470 1
Cd1 Cd 0.5000 0.5000 0.5000 1
Si1 Si 0.5000 0.5000 0.0000 1
O1 O 0.0000 0.0000 0.2488 1
O2 O 0.0000 0.5000 0.0000 1
O3 O 0.0000 0.5000 0.5000 1
O4 O 0.5000 0.5000 0.2328 1
```

***

Diffraction record for CePrAl4. The powder diffraction line list is calculated, not measured: it uses a crystal structure in the Materials Project, relaxed with PBE and CuKα.
No peak broadening, texture or thermal motion is included.

Top 6 peaks for 2θ = 10–90°, low angle first:
2theta, d (Å), I (rel.)
19.2, 4.622, 56.1
31.6, 2.830, 96.4
37.3, 2.414, 100.0
56.3, 1.634, 37.3
60.1, 1.541, 32.8
66.0, 1.415, 21.9

```
data_CePrAl4
_chemical_formula_sum 'Ce4 Pr4 Al16'
_space_group_name_H-M_alt 'F -4 3 m'
_space_group_IT_number 216
_space_group_name_Hall 'F -4 2 3'
_cell_length_a 8.0054
_cell_length_b 8.0054
_cell_length_c 8.0054
_cell_angle_alpha 90.00
_cell_angle_beta 90.00
_cell_angle_gamma 90.00
loop_
_atom_site_label
_atom_site_type_symbol
_atom_site_fract_x
_atom_site_fract_y
_atom_site_fract_z
_atom_site_occupancy
Ce1 Ce 0.0000 0.0000 0.0000 1
Pr1 Pr 0.2500 0.2500 0.2500 1
Al1 Al 0.1254 0.1254 0.6254 1
```